No. 1
Starting from the PBE+U geometry in the Materials Project, the powder X-ray diffraction pattern of MgVBiO5 was computed for λ = 1.5418 Å (Cu Kα).
Peak positions follow from Bragg's law for the DFT cell and can differ from measured ones.

Top 8 peaks for 2θ = 10–90°, sorted by position:
17.81 deg, d = 4.981 Å, I = 869, (1 0 0); 18.81 deg, d = 4.719 Å, I = 391, (1 1 -1); 19.35 deg, d = 4.587 Å, I = 704, (0 2 1); 25.02 deg, d = 3.559 Å, I = 751, (1 1 -2); 29.47 deg, d = 3.031 Å, I = 1000, (1 2 1); 33.19 deg, d = 2.699 Å, I = 410, (1 3 -2); 34.12 deg, d = 2.628 Å, I = 370, (2 1 -1); 35.60 deg, d = 2.522 Å, I = 341, (1 4 0)

Structural model:
abc: 5.402 11.711 8.005
angles: 90.00 112.75 90.00
Space group P2_1/c (No. 14)
Unique sites:
Mg  0.050  0.079  0.177 [4 per cell]
V  0.313  0.648  0.029 [4 per cell]
Bi  0.441  0.095  0.824 [4 per cell]
O  0.175  0.714  0.484 [4 per cell]
O  0.203  0.568  0.174 [4 per cell]
O  0.252  0.572  0.828 [4 per cell]
O  0.259  0.027  0.014 [4 per cell]
O  0.349  0.175  0.363 [4 per cell]

No. 2
Starting from the PBE+U geometry in the Materials Project, the powder X-ray diffraction pattern of MgV2Bi2O10 was computed for λ = 1.5418 Å (Cu Kα).
Peak positions follow from Bragg's law for the DFT cell and can differ from measured ones.

Top 8 peaks for 2θ = 10–90°, sorted by position:
13.81 deg, d = 6.412 Å, I = 254, (0 1 1); 17.31 deg, d = 5.122 Å, I = 1000, (1 0 -1); 18.93 deg, d = 4.688 Å, I = 343, (1 1 0); 19.57 deg, d = 4.536 Å, I = 546, (0 2 1); 24.05 deg, d = 3.701 Å, I = 305, (0 1 2); 24.75 deg, d = 3.598 Å, I = 547, (1 1 1); 28.74 deg, d = 3.106 Å, I = 726, (1 2 -2); 33.75 deg, d = 2.656 Å, I = 453, (1 3 1)

Structural model:
abc: 5.448 11.116 8.271
angles: 90.00 108.36 90.00
Space group P2_1 (No. 4)
Unique sites:
Mg  0.119  0.000  0.077 [2 per cell]
V  0.045  0.770  0.718 [2 per cell]
V  0.450  0.061  0.795 [2 per cell]
Bi  0.138  0.505  0.586 [2 per cell]
Bi  0.382  0.320  0.916 [2 per cell]
O  0.016  0.390  0.754 [2 per cell]
O  0.083  0.141  0.228 [2 per cell]
O  0.195  0.361  0.418 [2 per cell]
O  0.211  0.853  0.909 [2 per cell]
O  0.243  0.110  0.911 [2 per cell]
O  0.253  0.711  0.617 [2 per cell]
O  0.274  0.999  0.599 [2 per cell]
O  0.285  0.471  0.081 [2 per cell]
O  0.429  0.697  0.238 [2 per cell]
O  0.497  0.960  0.221 [2 per cell]

No. 3
Starting from the PBE+U geometry in the Materials Project, the powder X-ray diffraction pattern of MgVBiO6 was computed for λ = 1.5418 Å (Cu Kα).
Peak positions follow from Bragg's law for the DFT cell and can differ from measured ones.

Top 8 peaks for 2θ = 10–90°, sorted by position:
11.63 deg, d = 7.608 Å, I = 766, (0 0 1); 12.59 deg, d = 7.029 Å, I = 703, (1 0 0); 14.95 deg, d = 5.925 Å, I = 513, (1 0 -1); 19.15 deg, d = 4.635 Å, I = 1000, (1 0 1); 24.51 deg, d = 3.632 Å, I = 524, (1 1 1); 25.22 deg, d = 3.532 Å, I = 304, (2 0 -1); 28.30 deg, d = 3.153 Å, I = 302, (1 1 -2); 33.15 deg, d = 2.702 Å, I = 537, (1 1 2)

Structural model:
abc: 7.243 5.845 7.840
angles: 90.00 103.97 90.00
Space group P2_1/m (No. 11)
Unique sites:
Mg  0.087  0.250  0.282 [2 per cell]
V  0.193  0.250  0.850 [2 per cell]
Bi  0.487  0.750  0.397 [2 per cell]
O  0.092  0.013  0.739 [4 per cell]
O  0.173  0.250  0.061 [2 per cell]
O  0.309  0.026  0.431 [4 per cell]
O  0.455  0.250  0.848 [2 per cell]

No. 4
Starting from the PBE+U geometry in the Materials Project, the powder X-ray diffraction pattern of Mg3V2Bi2O12 was computed for λ = 1.5418 Å (Cu Kα).
Peak positions follow from Bragg's law for the DFT cell and can differ from measured ones.

Top 8 peaks for 2θ = 10–90°, sorted by position:
12.88 deg, d = 6.872 Å, I = 767, (0 0 1); 13.17 deg, d = 6.723 Å, I = 886, (1 0 0); 21.35 deg, d = 4.161 Å, I = 850, (1 1 -1); 22.06 deg, d = 4.030 Å, I = 703, (1 0 1); 28.65 deg, d = 3.116 Å, I = 1000, (1 1 -2); 29.05 deg, d = 3.073 Å, I = 967, (2 1 -1); 30.64 deg, d = 2.918 Å, I = 768, (0 1 2); 31.14 deg, d = 2.872 Å, I = 721, (2 1 0)

Structural model:
abc: 7.416 5.527 7.581
angles: 90.00 114.97 90.00
Space group Pm (No. 6)
Unique sites:
Mg  0.000  0.000  0.000 [1 per cell]
Mg  0.166  0.500  0.815 [1 per cell]
Mg  0.546  0.500  0.200 [1 per cell]
V  0.071  0.500  0.297 [1 per cell]
V  0.473  0.000  0.906 [1 per cell]
Bi  0.677  0.500  0.690 [1 per cell]
Bi  0.864  0.000  0.514 [1 per cell]
O  0.147  0.253  0.203 [2 per cell]
O  0.175  0.500  0.553 [1 per cell]
O  0.374  0.000  0.663 [1 per cell]
O  0.386  0.265  0.982 [2 per cell]
O  0.618  0.267  0.433 [2 per cell]
O  0.728  0.000  0.998 [1 per cell]
O  0.817  0.500  0.204 [1 per cell]
O  0.942  0.249  0.773 [2 per cell]

No. 5
Starting from the PBE+U geometry in the Materials Project, the powder X-ray diffraction pattern of MgVBiO4 was computed for λ = 1.5418 Å (Cu Kα).
Peak positions follow from Bragg's law for the DFT cell and can differ from measured ones.

Top 8 peaks for 2θ = 10–90°, sorted by position:
20.27 deg, d = 4.381 Å, I = 369, (0 1 0); 20.67 deg, d = 4.298 Å, I = 1000, (0 1 -1); 20.74 deg, d = 4.283 Å, I = 353, (1 0 -1); 26.54 deg, d = 3.359 Å, I = 373, (-1 1 1); 27.04 deg, d = 3.297 Å, I = 367, (1 -1 1); 33.45 deg, d = 2.679 Å, I = 190, (1 0 -2); 37.01 deg, d = 2.429 Å, I = 298, (0 0 2); 42.16 deg, d = 2.144 Å, I = 148, (2 0 0)

Structural model:
abc: 5.335 5.422 5.587
angles: 104.62 105.60 116.42
Space group P1 (No. 1)
Unique sites:
Mg  0.000  0.000  0.000 [1 per cell]
V  0.503  0.498  0.996 [1 per cell]
Bi  0.384  0.879  0.495 [1 per cell]
O  0.196  0.447  0.136 [1 per cell]
O  0.319  0.062  0.861 [1 per cell]
O  0.552  0.675  0.740 [1 per cell]
O  0.932  0.807  0.259 [1 per cell]